(1)
Starting from a crystal structure in OQMD, relaxed with GGA-PBE, the powder X-ray diffraction pattern of SmAgS2 was simulated for a wavelength of 1.5418 Å.
No peak broadening, texture or thermal motion is included.

Principal peaks in the range 10° ≤ 2θ ≤ 90°, most intense first:
- 32.55 deg, intensity 100, (2 2 0)
- 26.80 deg, intensity 82, (2 0 2)
- 38.71 deg, intensity 46, (1 1 -5)
- 46.70 deg, intensity 33, (0 4 0)
- 54.66 deg, intensity 27, (2 4 2)
- 27.80 deg, intensity 21, (0 0 4)
- 51.38 deg, intensity 20, (3 1 -5)
- 51.51 deg, intensity 19, (1 3 5)
- 17.92 deg, intensity 19, (1 0 -2)
- 17.54 deg, intensity 16, (1 1 -1)

Structural model:
```
data_SmAgS2
_chemical_formula_sum 'Sm8 Ag8 S16'
_space_group_name_H-M_alt 'P 1 21 1'
_space_group_IT_number 4
_cell_length_a 7.7807
_cell_length_b 7.7809
_cell_length_c 12.8354
_cell_angle_alpha 90.00
_cell_angle_beta 90.21
_cell_angle_gamma 90.00
loop_
_space_group_symop_operation_xyz
'x,y,z'
'-x,y+1/2,-z'
loop_
_atom_site_label
_atom_site_type_symbol
_atom_site_fract_x
_atom_site_fract_y
_atom_site_fract_z
_atom_site_occupancy
Sm1 Sm 0.9996 0.0000 0.2472 1
Sm2 Sm 0.2480 0.7486 0.4970 1
Sm3 Sm 0.2513 0.2483 0.9973 1
Sm4 Sm 0.4997 0.4975 0.2529 1
Ag1 Ag 0.0067 0.0142 0.6771 1
Ag2 Ag 0.2311 0.7578 0.9273 1
Ag3 Ag 0.2730 0.2370 0.4271 1
Ag4 Ag 0.4926 0.9809 0.1769 1
S1 S 0.0254 0.5244 0.9720 1
S2 S 0.0336 0.0330 0.4666 1
S3 S 0.2168 0.7810 0.7163 1
S4 S 0.2234 0.7226 0.2779 1
S5 S 0.2757 0.2732 0.7784 1
S6 S 0.2839 0.2147 0.2166 1
S7 S 0.4671 0.9651 0.9664 1
S8 S 0.4760 0.4736 0.4720 1
```

(2)
Starting from a crystal structure in OQMD, relaxed with GGA-PBE, the powder X-ray diffraction pattern of SmAgSnTe2S was simulated for a wavelength of 1.5418 Å.
No peak broadening, texture or thermal motion is included.

Principal peaks in the range 10° ≤ 2θ ≤ 90°, most intense first:
- 32.50 deg, intensity 100, (1 3 2)
- 41.12 deg, intensity 60, (1 5 2)
- 27.54 deg, intensity 58, (1 3 0)
- 33.45 deg, intensity 47, (1 1 3)
- 28.85 deg, intensity 39, (1 3 1)
- 41.44 deg, intensity 38, (2 0 0)
- 28.35 deg, intensity 30, (0 2 3)
- 34.23 deg, intensity 29, (0 0 4)
- 27.32 deg, intensity 22, (1 1 2)
- 51.02 deg, intensity 21, (0 8 1)

Structural model:
```
data_SmAgSnTe2S
_chemical_formula_sum 'Sm4 Ag4 Sn4 Te8 S4'
_space_group_name_H-M_alt 'C m c m'
_space_group_IT_number 63
_space_group_name_Hall '-C 2c 2'
_cell_length_a 4.3577
_cell_length_b 14.5206
_cell_length_c 10.4793
_cell_angle_alpha 90.00
_cell_angle_beta 90.00
_cell_angle_gamma 90.00
loop_
_atom_site_label
_atom_site_type_symbol
_atom_site_fract_x
_atom_site_fract_y
_atom_site_fract_z
_atom_site_occupancy
Sm1 Sm 0.0000 0.0000 0.0000 1
Ag1 Ag 0.0000 0.4829 0.2500 1
Sn1 Sn 0.0000 0.2723 0.7500 1
Te1 Te 0.0000 0.3473 0.0589 1
S1 S 0.0000 0.0821 0.2500 1
```

(3)
Starting from a crystal structure in OQMD, relaxed with GGA-PBE, the powder X-ray diffraction pattern of SmTlAg2S3 was simulated for a wavelength of 1.5418 Å.
No peak broadening, texture or thermal motion is included.

Principal peaks in the range 10° ≤ 2θ ≤ 90°, most intense first:
- 29.84 deg, intensity 100, (3 1 1)
- 34.40 deg, intensity 82, (2 1 3)
- 31.91 deg, intensity 45, (1 0 4)
- 43.55 deg, intensity 38, (0 2 0)
- 32.84 deg, intensity 37, (3 1 2)
- 27.28 deg, intensity 37, (1 1 2)
- 23.65 deg, intensity 35, (1 1 1)
- 33.86 deg, intensity 34, (2 0 4)
- 47.16 deg, intensity 27, (2 1 5)
- 25.48 deg, intensity 25, (4 0 0)

Structural model:
```
data_SmTlAg2S3
_chemical_formula_sum 'Sm4 Tl4 Ag8 S12'
_space_group_name_H-M_alt 'P n m a'
_space_group_IT_number 62
_cell_length_a 13.9808
_cell_length_b 4.1567
_cell_length_c 11.4424
_cell_angle_alpha 90.00
_cell_angle_beta 90.00
_cell_angle_gamma 90.00
loop_
_space_group_symop_operation_xyz
'x,y,z'
'-x,-y,-z'
'-x+1/2,-y,z+1/2'
'x+1/2,y,-z+1/2'
'x+1/2,-y+1/2,-z+1/2'
'-x+1/2,y+1/2,z+1/2'
'-x,y+1/2,-z'
'x,-y+1/2,z'
loop_
_atom_site_label
_atom_site_type_symbol
_atom_site_fract_x
_atom_site_fract_y
_atom_site_fract_z
_atom_site_occupancy
Sm1 Sm 0.0192 0.2500 0.1638 1
Tl1 Tl 0.2314 0.2500 0.4571 1
Ag1 Ag 0.0382 0.7500 0.4111 1
Ag2 Ag 0.1764 0.2500 0.7299 1
S1 S 0.0892 0.7500 0.6289 1
S2 S 0.0954 0.2500 0.9327 1
S3 S 0.1425 0.7500 0.2295 1
```

(4)
Starting from a crystal structure in OQMD, relaxed with GGA-PBE, the powder X-ray diffraction pattern of ZnAg2SnTe3S was simulated for a wavelength of 1.5418 Å.
No peak broadening, texture or thermal motion is included.

Principal peaks in the range 10° ≤ 2θ ≤ 90°, most intense first:
- 24.51 deg, intensity 100, (0 2 1)
- 24.85 deg, intensity 59, (2 0 0)
- 24.98 deg, intensity 55, (2 0 -2)
- 40.69 deg, intensity 54, (2 2 -3)
- 40.52 deg, intensity 54, (2 2 1)
- 48.56 deg, intensity 31, (2 4 0)
- 42.01 deg, intensity 26, (4 0 -2)
- 40.99 deg, intensity 25, (0 4 0)
- 47.20 deg, intensity 21, (0 2 3)
- 49.31 deg, intensity 16, (4 2 -3)

Structural model:
```
data_ZnAg2SnTe3S
_chemical_formula_sum 'Zn2 Ag4 Sn2 Te6 S2'
_space_group_name_H-M_alt 'C 1 m 1'
_space_group_IT_number 8
_cell_length_a 8.6023
_cell_length_b 8.8077
_cell_length_c 7.7112
_cell_angle_alpha 90.00
_cell_angle_beta 123.59
_cell_angle_gamma 90.00
loop_
_space_group_symop_operation_xyz
'x,y,z'
'x,-y,z'
'x+1/2,y+1/2,z'
'x+1/2,-y+1/2,z'
loop_
_atom_site_label
_atom_site_type_symbol
_atom_site_fract_x
_atom_site_fract_y
_atom_site_fract_z
_atom_site_occupancy
Zn1 Zn 0.0000 0.0000 0.0000 1
Ag1 Ag 0.4631 0.2244 0.4607 1
Sn1 Sn 0.4646 0.0000 0.9864 1
Te1 Te 0.3519 0.2621 0.7365 1
Te2 Te 0.3611 0.5000 0.2436 1
S1 S 0.3343 0.0000 0.2098 1
```